1.
Calculated powder X-ray diffraction pattern of Mg6Zn5 for copper Kα, from the GGA-PBE geometry in Alexandria.

Most intense lines, 2θ from 15° to 90°, low angle first:
25.5 deg, 3.489 Å, I 27, hkl 2 0 1; 28.2 deg, 3.164 Å, I 19, hkl 0 2 0; 37.9 deg, 2.376 Å, I 42, hkl 2 0 -2; 38.4 deg, 2.344 Å, I 100, hkl 2 2 1; 38.8 deg, 2.322 Å, I 48, hkl 6 0 0; 40.2 deg, 2.241 Å, I 82, hkl 4 2 -1

Structural model:
```
data_Mg6Zn5
_cell_length_a 14.3554
_cell_length_b 6.3275
_cell_length_c 4.7722
_cell_angle_alpha 90.00
_cell_angle_beta 103.92
_cell_angle_gamma 90.00
_symmetry_space_group_name_H-M 'C 1 2/m 1'
_symmetry_Int_Tables_number 12
loop_
_symmetry_equiv_pos_as_xyz
'x,y,z'
'-x,-y,-z'
'-x,y,-z'
'x,-y,z'
'x+1/2,y+1/2,z'
'-x+1/2,-y+1/2,-z'
'-x+1/2,y+1/2,-z'
'x+1/2,-y+1/2,z'
loop_
_atom_site_label
_atom_site_type_symbol
_atom_site_fract_x
_atom_site_fract_y
_atom_site_fract_z
_atom_site_occupancy
Mg1 Mg 0.0000 0.2416 0.0000 1
Mg2 Mg 0.1565 0.2422 0.6148 1
Zn1 Zn 0.0000 0.5000 0.5000 1
Zn2 Zn 0.1727 0.5000 0.1219 1
Zn3 Zn 0.1762 0.0000 0.1279 1
```


2.
Calculated powder X-ray diffraction pattern of MgZn12 for copper Kα, from the GGA-PBE geometry in Alexandria.

Most intense lines, 2θ from 15° to 90°, low angle first:
23.6 deg, 3.770 Å, I 39, hkl 2 2 0; 27.8 deg, 3.215 Å, I 73, hkl 3 1 1; 44.1 deg, 2.052 Å, I 100, hkl 3 3 3; 50.7 deg, 1.802 Å, I 30, hkl 5 3 1; 51.4 deg, 1.777 Å, I 55, hkl 6 0 0; 75.7 deg, 1.257 Å, I 32, hkl 6 6 0

Structural model:
```
data_MgZn12
_cell_length_a 10.6620
_cell_length_b 10.6620
_cell_length_c 10.6620
_cell_angle_alpha 90.00
_cell_angle_beta 90.00
_cell_angle_gamma 90.00
_symmetry_space_group_name_H-M 'F m -3 m'
_symmetry_Int_Tables_number 225
_symmetry_space_group_name_Hall '-F 4 2 3'
loop_
_atom_site_label
_atom_site_type_symbol
_atom_site_fract_x
_atom_site_fract_y
_atom_site_fract_z
_atom_site_occupancy
Mg1 Mg 0.0000 0.0000 0.0000 1
Zn1 Zn 0.0000 0.1700 0.3300 1
```


3.
Calculated powder X-ray diffraction pattern of Mg3Zn2 for copper Kα, from the GGA-PBE geometry in Alexandria.

Most intense lines, 2θ from 15° to 90°, low angle first:
21.4 deg, 4.148 Å, I 50, hkl 2 2 0; 35.1 deg, 2.557 Å, I 32, hkl 4 0 0; 36.6 deg, 2.457 Å, I 28, hkl 3 3 1; 36.9 deg, 2.435 Å, I 100, hkl 1 5 1; 38.0 deg, 2.371 Å, I 80, hkl 2 0 2; 44.9 deg, 2.020 Å, I 41, hkl 3 5 1

Structural model:
```
data_Mg3Zn2
_cell_length_a 10.2282
_cell_length_b 14.1868
_cell_length_c 5.3511
_cell_angle_alpha 90.00
_cell_angle_beta 90.00
_cell_angle_gamma 90.00
_symmetry_space_group_name_H-M 'F d d 2'
_symmetry_Int_Tables_number 43
_symmetry_space_group_name_Hall 'F 2 -2d'
loop_
_atom_site_label
_atom_site_type_symbol
_atom_site_fract_x
_atom_site_fract_y
_atom_site_fract_z
_atom_site_occupancy
Mg1 Mg 0.0000 0.0000 0.0000 1
Mg2 Mg 0.0486 0.3971 0.0040 1
Zn1 Zn 0.0256 0.2962 0.5392 1
```


4.
Calculated powder X-ray diffraction pattern of Mg2Zn for copper Kα, from the GGA-PBE geometry in Alexandria.

Most intense lines, 2θ from 15° to 90°, low angle first:
33.5 deg, 2.674 Å, I 30, hkl 1 3 0; 34.4 deg, 2.607 Å, I 23, hkl 1 1 1; 36.2 deg, 2.479 Å, I 42, hkl 0 0 2; 38.2 deg, 2.353 Å, I 100, hkl 1 3 1; 39.4 deg, 2.287 Å, I 52, hkl 0 6 1; 50.2 deg, 1.818 Å, I 18, hkl 1 3 2

Structural model:
```
data_Mg2Zn
_cell_length_a 3.1267
_cell_length_b 15.4690
_cell_length_c 4.9583
_cell_angle_alpha 90.00
_cell_angle_beta 90.00
_cell_angle_gamma 90.00
_symmetry_space_group_name_H-M 'C m c m'
_symmetry_Int_Tables_number 63
_symmetry_space_group_name_Hall '-C 2c 2'
loop_
_atom_site_label
_atom_site_type_symbol
_atom_site_fract_x
_atom_site_fract_y
_atom_site_fract_z
_atom_site_occupancy
Mg1 Mg 0.0000 0.0594 0.2500 1
Mg2 Mg 0.0000 0.3763 0.2500 1
Zn1 Zn 0.0000 0.2791 0.7500 1
```


5.
Calculated powder X-ray diffraction pattern of Mg3Zn11 for copper Kα, from the GGA-PBE geometry in Alexandria.

Most intense lines, 2θ from 15° to 90°, low angle first:
36.9 deg, 2.433 Å, I 100, hkl 1 2 3; 38.2 deg, 2.354 Å, I 35, hkl 1 3 2; 39.7 deg, 2.271 Å, I 37, hkl 1 1 4; 42.9 deg, 2.109 Å, I 55, hkl 2 0 0; 43.2 deg, 2.092 Å, I 77, hkl 1 4 1; 47.8 deg, 1.903 Å, I 51, hkl 1 3 4

Structural model:
```
data_Mg3Zn11
_cell_length_a 4.2179
_cell_length_b 9.8670
_cell_length_c 11.2027
_cell_angle_alpha 90.00
_cell_angle_beta 90.00
_cell_angle_gamma 90.00
_symmetry_space_group_name_H-M 'I m m m'
_symmetry_Int_Tables_number 71
_symmetry_space_group_name_Hall '-I 2 2'
loop_
_atom_site_label
_atom_site_type_symbol
_atom_site_fract_x
_atom_site_fract_y
_atom_site_fract_z
_atom_site_occupancy
Mg1 Mg 0.0000 0.0000 0.0000 1
Mg2 Mg 0.0000 0.0000 0.2792 1
Zn1 Zn 0.0000 0.1524 0.5000 1
Zn2 Zn 0.0000 0.2799 0.1453 1
Zn3 Zn 0.0000 0.3720 0.3673 1
Zn4 Zn 0.0000 0.5000 0.0000 1
```


6.
Calculated powder X-ray diffraction pattern of Mg4Zn for copper Kα, from the GGA-PBE geometry in Alexandria.

Most intense lines, 2θ from 15° to 90°, low angle first:
16.6 deg, 5.349 Å, I 89, hkl 1 0 1; 21.9 deg, 4.060 Å, I 100, hkl 2 0 0; 35.5 deg, 2.529 Å, I 90, hkl 3 0 1; 39.6 deg, 2.275 Å, I 54, hkl 1 0 3; 42.1 deg, 2.147 Å, I 73, hkl 3 2 1; 43.5 deg, 2.081 Å, I 59, hkl 3 1 2

Structural model:
```
data_Mg4Zn
_cell_length_a 8.1199
_cell_length_b 8.1199
_cell_length_c 7.1088
_cell_angle_alpha 90.00
_cell_angle_beta 90.00
_cell_angle_gamma 90.00
_symmetry_space_group_name_H-M 'I 41/a m d'
_symmetry_Int_Tables_number 141
loop_
_symmetry_equiv_pos_as_xyz
'x,y,z'
'-x,-y,-z'
'-y+1/4,x+3/4,z+1/4'
'y+1/4,-x+3/4,-z+1/4'
'-x+1/2,-y,z+1/2'
'x+1/2,y,-z+1/2'
'y+1/4,-x+1/4,z+3/4'
'-y+1/4,x+1/4,-z+3/4'
'x,-y,-z'
'-x,y,z'
'-y+1/4,-x+1/4,-z+3/4'
'y+1/4,x+1/4,z+3/4'
'-x+1/2,y,-z+1/2'
'x+1/2,-y,z+1/2'
'y+1/4,x+3/4,-z+1/4'
'-y+1/4,-x+3/4,z+1/4'
'x+1/2,y+1/2,z+1/2'
'-x+1/2,-y+1/2,-z+1/2'
'-y+3/4,x+1/4,z+3/4'
'y+3/4,-x+1/4,-z+3/4'
'-x,-y+1/2,z'
'x,y+1/2,-z'
'y+3/4,-x+3/4,z+1/4'
'-y+3/4,x+3/4,-z+1/4'
'x+1/2,-y+1/2,-z+1/2'
'-x+1/2,y+1/2,z+1/2'
'-y+3/4,-x+3/4,-z+1/4'
'y+3/4,x+3/4,z+1/4'
'-x,y+1/2,-z'
'x,-y+1/2,z'
'y+3/4,x+1/4,-z+3/4'
'-y+3/4,-x+1/4,z+3/4'
loop_
_atom_site_label
_atom_site_type_symbol
_atom_site_fract_x
_atom_site_fract_y
_atom_site_fract_z
_atom_site_occupancy
Mg1 Mg 0.0000 0.0654 0.2116 1
Zn1 Zn 0.0000 0.2500 0.8750 1
```